Starting from a cell relaxed with GGA-PBE, the PXRD pattern of Tb2SiGe was computed for Cu Kα.
Lines closer than 0.1° are merged.

Cell: 3.9119 4.3285 10.6796 Å, 90.00 90.00 90.00°
Space group Amm2 (No. 38)
One atom of each set of equivalent atoms:
Tb  0.0000  0.0000  0.0000 (multiplicity 2)
Tb  0.5000  0.0000  0.2780 (multiplicity 2)
Si  0.5000  0.0000  0.5573 (multiplicity 2)
Ge  0.0000  0.0000  0.7178 (multiplicity 2)

The 10 most intense peaks (2θ from 5° to 70°), sorted by position:
(hkl)  two_theta  intensity
0 1 1  22.16  18
1 0 2  28.28  39
1 1 1  31.96  100
0 1 3  32.57  44
0 0 4  33.57  30
1 1 3  40.09  42
0 2 0  41.73  24
2 0 0  46.42  18
1 2 2  51.18  16
2 1 3  57.85  17